No. 1
# Ca7Sn2N2
Theoretical PXRD pattern, Cu Kα, 1.54184 Å. Input: a PBE-relaxed structure.
Neutral-atom scattering factors, no anomalous dispersion.

Largest 8 diffraction maxima, sorted by position, 15 to 90 degrees two-theta:
2theta  I (rel.)
21.09  84
26.59  54
30.03  57
31.24  76
31.43  67
33.28  79
38.37  79
39.18  100

Structural model:
```
Ca7Sn2N2
1.0
3.8602 -5.3850 0.0000
3.8602 5.3850 0.0000
0.0000 0.0000 6.7606
Ca Sn N
7 2 2
direct
0.0000 0.0000 0.0000 Ca
0.0000 0.5000 0.2280 Ca
0.0000 0.5000 0.7720 Ca
0.5000 0.0000 0.2280 Ca
0.5000 0.0000 0.7720 Ca
0.5000 0.5000 0.2121 Ca
0.5000 0.5000 0.7879 Ca
0.1874 0.1874 0.5000 Sn
0.8126 0.8126 0.5000 Sn
0.3012 0.6988 0.0000 N
0.6988 0.3012 0.0000 N
```

=====

No. 2
# Tb3Ga8Ag3
Theoretical PXRD pattern, Cu Kα, 1.54184 Å. Input: a PBE-relaxed structure.
Neutral-atom scattering factors, no anomalous dispersion.

Largest 8 diffraction maxima, sorted by position, 15 to 90 degrees two-theta:
2theta  I (rel.)
34.72  100
34.92  37
35.68  21
37.64  33
41.48  20
41.73  34
60.30  13
67.21  13

Structural model:
```
Tb3Ga8Ag3
1.0
-2.1646 4.7821 6.5309
2.1646 -4.7821 6.5309
2.1646 4.7821 -6.5309
Tb Ga Ag
3 8 3
direct
0.0000 0.0000 0.0000 Tb
0.3009 0.3009 0.0000 Tb
0.6991 0.6991 0.0000 Tb
0.0281 0.6590 0.3691 Ga
0.1381 0.8563 0.2817 Ga
0.2899 0.6590 0.6309 Ga
0.4254 0.1437 0.2817 Ga
0.5746 0.8563 0.7183 Ga
0.7101 0.3410 0.3691 Ga
0.8619 0.1437 0.7183 Ga
0.9719 0.3410 0.6309 Ga
0.3028 0.5000 0.8028 Ag
0.5000 0.0000 0.5000 Ag
0.6972 0.5000 0.1972 Ag
```